Record 1
Diffraction record for Tm8Zn2Ir. The powder diffraction line list is theoretical, not measured: it uses a PBE-relaxed structure and Cu Kα (weighted mean of Kα1 and Kα2).
Neutral-atom scattering factors, no anomalous dispersion.

Main lines, sorted by position (2θ from 5° to 70°):
2θ (°), Rel. int.
30.58, 434
32.75, 1000
33.08, 994
33.36, 502
38.58, 379
40.63, 454

Crystal structure
```
data_Tm8Zn2Ir
_chemical_formula_sum 'Tm16 Zn4 Ir2'
_cell_length_a 7.463
_cell_length_b 15.538
_cell_length_c 6.037
_cell_angle_alpha 90.00
_cell_angle_beta 123.05
_cell_angle_gamma 90.00
_symmetry_space_group_name_H-M 'C 1 m 1'
_symmetry_Int_Tables_number 8
loop_
_symmetry_equiv_pos_as_xyz
'x,y,z'
'x,-y,z'
'x+1/2,y+1/2,z'
'x+1/2,-y+1/2,z'
loop_
_atom_site_label
_atom_site_type_symbol
_atom_site_fract_x
_atom_site_fract_y
_atom_site_fract_z
_atom_site_occupancy
Tm1 Tm 0.000 0.000 0.000 1
Tm2 Tm 0.000 0.119 0.525 1
Tm3 Tm 0.226 0.307 0.864 1
Tm4 Tm 0.437 0.000 0.640 1
Tm5 Tm 0.456 0.115 0.174 1
Zn1 Zn 0.229 0.220 0.352 1
Ir1 Ir 0.231 0.500 0.156 1
```


Record 2
Diffraction record for TmZn3Ir. The powder diffraction line list is theoretical, not measured: it uses a PBE-relaxed structure and Cu Kα (weighted mean of Kα1 and Kα2).
Neutral-atom scattering factors, no anomalous dispersion.

Main lines, sorted by position (2θ from 5° to 70°):
2θ (°), Rel. int.
18.66, 479
24.31, 646
28.02, 834
35.54, 876
42.15, 466
43.53, 1000

Crystal structure
```
data_TmZn3Ir
_chemical_formula_sum 'Tm2 Zn6 Ir2'
_cell_length_a 4.287
_cell_length_b 7.322
_cell_length_c 6.251
_cell_angle_alpha 90.00
_cell_angle_beta 90.00
_cell_angle_gamma 90.00
_symmetry_space_group_name_H-M 'A m m 2'
_symmetry_Int_Tables_number 38
loop_
_symmetry_equiv_pos_as_xyz
'x,y,z'
'-x,-y,z'
'-x,y,z'
'x,-y,z'
'x,y+1/2,z+1/2'
'-x,-y+1/2,z+1/2'
'-x,y+1/2,z+1/2'
'x,-y+1/2,z+1/2'
loop_
_atom_site_label
_atom_site_type_symbol
_atom_site_fract_x
_atom_site_fract_y
_atom_site_fract_z
_atom_site_occupancy
Tm1 Tm 0.000 0.000 0.000 1
Zn1 Zn 0.000 0.000 0.500 1
Zn2 Zn 0.500 0.188 0.366 1
Ir1 Ir 0.500 0.000 0.720 1
```


Record 3
Diffraction record for Tm4ZrIr3. The powder diffraction line list is theoretical, not measured: it uses a PBE-relaxed structure and Cu Kα (weighted mean of Kα1 and Kα2).
Neutral-atom scattering factors, no anomalous dispersion.

Main lines, sorted by position (2θ from 5° to 70°):
2θ (°), Rel. int.
30.27, 329
33.46, 722
34.60, 451
37.11, 497
37.46, 1000
38.49, 360

Crystal structure
```
data_Tm4ZrIr3
_chemical_formula_sum 'Tm16 Zr4 Ir12'
_cell_length_a 10.835
_cell_length_b 10.835
_cell_length_c 5.906
_cell_angle_alpha 90.00
_cell_angle_beta 90.00
_cell_angle_gamma 90.00
_symmetry_space_group_name_H-M 'I 4/m c m'
_symmetry_Int_Tables_number 140
_symmetry_space_group_name_Hall '-I 4 2c'
loop_
_atom_site_label
_atom_site_type_symbol
_atom_site_fract_x
_atom_site_fract_y
_atom_site_fract_z
_atom_site_occupancy
Tm1 Tm 0.081 0.212 0.000 1
Zr1 Zr 0.000 0.500 0.250 1
Ir1 Ir 0.000 0.000 0.250 1
Ir2 Ir 0.153 0.347 0.500 1
```


Record 4
Diffraction record for U4Ir. The powder diffraction line list is theoretical, not measured: it uses a PBE-relaxed structure and Cu Kα (weighted mean of Kα1 and Kα2).
Neutral-atom scattering factors, no anomalous dispersion.

Main lines, sorted by position (2θ from 5° to 70°):
2θ (°), Rel. int.
16.68, 163
29.10, 834
33.72, 1000
48.44, 740
57.51, 391
60.32, 262

Crystal structure
```
data_U4Ir
_chemical_formula_sum 'U4 Ir1'
_cell_length_a 5.315
_cell_length_b 5.315
_cell_length_c 5.315
_cell_angle_alpha 90.00
_cell_angle_beta 90.00
_cell_angle_gamma 90.00
_symmetry_space_group_name_H-M 'P m -3 m'
_symmetry_Int_Tables_number 221
_symmetry_space_group_name_Hall '-P 4 2 3'
loop_
_atom_site_label
_atom_site_type_symbol
_atom_site_fract_x
_atom_site_fract_y
_atom_site_fract_z
_atom_site_occupancy
U1 U 0.000 0.000 0.000 1
U2 U 0.000 0.500 0.500 1
Ir1 Ir 0.500 0.500 0.500 1
```


Record 5
Diffraction record for V2Ir3. The powder diffraction line list is theoretical, not measured: it uses a PBE-relaxed structure and Cu Kα (weighted mean of Kα1 and Kα2).
Neutral-atom scattering factors, no anomalous dispersion.

Main lines, sorted by position (2θ from 5° to 70°):
2θ (°), Rel. int.
26.31, 482
40.25, 529
42.50, 253
42.82, 242
43.66, 1000
44.45, 339

Crystal structure
```
data_V2Ir3
_chemical_formula_sum 'V8 Ir12'
_cell_length_a 8.791
_cell_length_b 4.077
_cell_length_c 8.448
_cell_angle_alpha 90.00
_cell_angle_beta 90.00
_cell_angle_gamma 90.00
_symmetry_space_group_name_H-M 'P n m a'
_symmetry_Int_Tables_number 62
loop_
_symmetry_equiv_pos_as_xyz
'x,y,z'
'-x,-y,-z'
'-x+1/2,-y,z+1/2'
'x+1/2,y,-z+1/2'
'x+1/2,-y+1/2,-z+1/2'
'-x+1/2,y+1/2,z+1/2'
'-x,y+1/2,-z'
'x,-y+1/2,z'
loop_
_atom_site_label
_atom_site_type_symbol
_atom_site_fract_x
_atom_site_fract_y
_atom_site_fract_z
_atom_site_occupancy
V1 V 0.039 0.250 0.139 1
V2 V 0.194 0.250 0.457 1
Ir1 Ir 0.038 0.750 0.353 1
Ir2 Ir 0.155 0.250 0.871 1
Ir3 Ir 0.177 0.750 0.648 1
```


Record 6
Diffraction record for V4Ir3. The powder diffraction line list is theoretical, not measured: it uses a PBE-relaxed structure and Cu Kα (weighted mean of Kα1 and Kα2).
Neutral-atom scattering factors, no anomalous dispersion.

Main lines, sorted by position (2θ from 5° to 70°):
2θ (°), Rel. int.
24.81, 568
27.79, 285
32.60, 290
40.84, 1000
41.07, 976
46.47, 682

Crystal structure
```
data_V4Ir3
_chemical_formula_sum 'V8 Ir6'
_cell_length_a 2.775
_cell_length_b 3.652
_cell_length_c 19.265
_cell_angle_alpha 90.00
_cell_angle_beta 90.00
_cell_angle_gamma 90.00
_symmetry_space_group_name_H-M 'I m m m'
_symmetry_Int_Tables_number 71
_symmetry_space_group_name_Hall '-I 2 2'
loop_
_atom_site_label
_atom_site_type_symbol
_atom_site_fract_x
_atom_site_fract_y
_atom_site_fract_z
_atom_site_occupancy
V1 V 0.000 0.000 0.069 1
V2 V 0.000 0.000 0.211 1
Ir1 Ir 0.000 0.000 0.355 1
Ir2 Ir 0.000 0.000 0.500 1
```


Record 7
Diffraction record for V7Ir. The powder diffraction line list is theoretical, not measured: it uses a PBE-relaxed structure and Cu Kα (weighted mean of Kα1 and Kα2).
Neutral-atom scattering factors, no anomalous dispersion.

Main lines, sorted by position (2θ from 5° to 70°):
2θ (°), Rel. int.
14.79, 137
22.25, 228
30.77, 119
33.44, 94
42.68, 1000
61.95, 155

Crystal structure
```
data_V7Ir
_chemical_formula_sum 'V14 Ir2'
_cell_length_a 4.238
_cell_length_b 4.238
_cell_length_c 11.977
_cell_angle_alpha 90.00
_cell_angle_beta 90.00
_cell_angle_gamma 90.00
_symmetry_space_group_name_H-M 'I 4/m m m'
_symmetry_Int_Tables_number 139
_symmetry_space_group_name_Hall '-I 4 2'
loop_
_atom_site_label
_atom_site_type_symbol
_atom_site_fract_x
_atom_site_fract_y
_atom_site_fract_z
_atom_site_occupancy
V1 V 0.000 0.000 0.000 1
V2 V 0.000 0.000 0.246 1
V3 V 0.000 0.500 0.127 1
Ir1 Ir 0.000 0.000 0.500 1
```


Record 8
Diffraction record for V2Ir. The powder diffraction line list is theoretical, not measured: it uses a PBE-relaxed structure and Cu Kα (weighted mean of Kα1 and Kα2).
Neutral-atom scattering factors, no anomalous dispersion.

Main lines, sorted by position (2θ from 5° to 70°):
2θ (°), Rel. int.
13.70, 228
20.54, 279
27.43, 216
40.69, 293
41.94, 1000
43.97, 600

Crystal structure
```
data_V2Ir
_chemical_formula_sum 'V4 Ir2'
_cell_length_a 4.456
_cell_length_b 2.875
_cell_length_c 6.658
_cell_angle_alpha 90.00
_cell_angle_beta 103.92
_cell_angle_gamma 90.00
_symmetry_space_group_name_H-M 'P 1 2/m 1'
_symmetry_Int_Tables_number 10
loop_
_symmetry_equiv_pos_as_xyz
'x,y,z'
'-x,-y,-z'
'-x,y,-z'
'x,-y,z'
loop_
_atom_site_label
_atom_site_type_symbol
_atom_site_fract_x
_atom_site_fract_y
_atom_site_fract_z
_atom_site_occupancy
V1 V 0.000 0.000 0.000 1
V2 V 0.118 0.500 0.333 1
V3 V 0.500 0.500 0.000 1
Ir1 Ir 0.383 0.000 0.675 1
```


Record 9
Diffraction record for V4Ir. The powder diffraction line list is theoretical, not measured: it uses a PBE-relaxed structure and Cu Kα (weighted mean of Kα1 and Kα2).
Neutral-atom scattering factors, no anomalous dispersion.

Main lines, sorted by position (2θ from 5° to 70°):
2θ (°), Rel. int.
8.89, 1000
17.84, 231
35.08, 184
41.73, 888
41.90, 219
45.61, 170

Crystal structure
```
data_V4Ir
_chemical_formula_sum 'V16 Ir4'
_cell_length_a 3.219
_cell_length_b 4.312
_cell_length_c 19.890
_cell_angle_alpha 90.00
_cell_angle_beta 90.00
_cell_angle_gamma 90.00
_symmetry_space_group_name_H-M 'F m m m'
_symmetry_Int_Tables_number 69
_symmetry_space_group_name_Hall '-F 2 2'
loop_
_atom_site_label
_atom_site_type_symbol
_atom_site_fract_x
_atom_site_fract_y
_atom_site_fract_z
_atom_site_occupancy
V1 V 0.000 0.000 0.100 1
V2 V 0.000 0.000 0.300 1
Ir1 Ir 0.000 0.000 0.500 1
```


Record 10
Diffraction record for V8Ir. The powder diffraction line list is theoretical, not measured: it uses a PBE-relaxed structure and Cu Kα (weighted mean of Kα1 and Kα2).
Neutral-atom scattering factors, no anomalous dispersion.

Main lines, sorted by position (2θ from 5° to 70°):
2θ (°), Rel. int.
13.89, 401
19.70, 183
37.50, 168
42.54, 505
42.70, 1000
61.74, 156

Crystal structure
```
data_V8Ir
_chemical_formula_sum 'V16 Ir2'
_cell_length_a 9.015
_cell_length_b 9.015
_cell_length_c 2.984
_cell_angle_alpha 90.00
_cell_angle_beta 90.00
_cell_angle_gamma 90.00
_symmetry_space_group_name_H-M 'I 4/m m m'
_symmetry_Int_Tables_number 139
_symmetry_space_group_name_Hall '-I 4 2'
loop_
_atom_site_label
_atom_site_type_symbol
_atom_site_fract_x
_atom_site_fract_y
_atom_site_fract_z
_atom_site_occupancy
V1 V 0.000 0.334 0.000 1
V2 V 0.169 0.169 0.500 1
Ir1 Ir 0.000 0.000 0.000 1
```


Record 11
Diffraction record for V6Ir5W. The powder diffraction line list is theoretical, not measured: it uses a PBE-relaxed structure and Cu Kα (weighted mean of Kα1 and Kα2).
Neutral-atom scattering factors, no anomalous dispersion.

Main lines, sorted by position (2θ from 5° to 70°):
2θ (°), Rel. int.
21.42, 1000
35.52, 283
40.54, 314
41.68, 980
41.98, 932
43.64, 501

Crystal structure
```
data_V6Ir5W
_chemical_formula_sum 'V6 Ir5 W1'
_cell_length_a 4.884
_cell_length_b 5.424
_cell_length_c 6.777
_cell_angle_alpha 104.46
_cell_angle_beta 95.92
_cell_angle_gamma 97.62
_symmetry_space_group_name_H-M 'P -1'
_symmetry_Int_Tables_number 2
loop_
_symmetry_equiv_pos_as_xyz
'x,y,z'
'-x,-y,-z'
loop_
_atom_site_label
_atom_site_type_symbol
_atom_site_fract_x
_atom_site_fract_y
_atom_site_fract_z
_atom_site_occupancy
V1 V 0.011 0.252 0.497 1
V2 V 0.297 0.729 0.831 1
V3 V 0.303 0.238 0.845 1
Ir1 Ir 0.194 0.577 0.175 1
Ir2 Ir 0.197 0.064 0.164 1
Ir3 Ir 0.500 0.000 0.500 1
W1 W 0.500 0.500 0.500 1
```


Record 12
Diffraction record for VIrW2. The powder diffraction line list is theoretical, not measured: it uses a PBE-relaxed structure and Cu Kα (weighted mean of Kα1 and Kα2).
Neutral-atom scattering factors, no anomalous dispersion.

Main lines, sorted by position (2θ from 5° to 70°):
2θ (°), Rel. int.
24.74, 129
28.64, 53
40.95, 1000
48.43, 69
59.30, 169
65.24, 29

Crystal structure
```
data_VIrW2
_chemical_formula_sum 'V4 Ir4 W8'
_cell_length_a 6.234
_cell_length_b 6.234
_cell_length_c 6.234
_cell_angle_alpha 90.00
_cell_angle_beta 90.00
_cell_angle_gamma 90.00
_symmetry_space_group_name_H-M 'F m -3 m'
_symmetry_Int_Tables_number 225
_symmetry_space_group_name_Hall '-F 4 2 3'
loop_
_atom_site_label
_atom_site_type_symbol
_atom_site_fract_x
_atom_site_fract_y
_atom_site_fract_z
_atom_site_occupancy
V1 V 0.000 0.000 0.000 1
Ir1 Ir 0.000 0.000 0.500 1
W1 W 0.250 0.250 0.250 1
```